Diffraction record for Cs2KCoC6N6. The powder XRD pattern is calculated, not measured: it uses a crystal structure in Alexandria, relaxed with PBE and Cu Kα, 1.54184 Å.

Principal peaks in the range 2θ = 10–90°, by intensity:
d/Å  2theta  Rel. int.  index
3.973  22.38  100.0  1 1 1
3.889  22.87  23.6  2 0 -2
2.816  31.78  22.0  2 2 -2
2.504  35.87  20.7  1 3 0
2.266  39.78  20.2  2 0 -6
4.082  21.77  19.7  0 2 0
2.803  31.93  16.8  0 0 4
5.032  17.63  16.5  1 1 0
2.731  32.80  13.1  2 2 -1
5.619  15.77  12.6  0 0 2

abc: 7.777 8.164 13.619
angles: 90.00 124.60 90.00
Sites, in units of the cell vectors:
Cs 0.231 0.063 0.249
Cs 0.231 0.437 0.749
Cs 0.769 0.563 0.251
Cs 0.769 0.937 0.751
K 0.000 0.000 0.500
K 0.000 0.500 0.000
Co 0.500 0.000 0.000
Co 0.500 0.500 0.500
C 0.272 0.125 0.969
C 0.272 0.375 0.469
C 0.338 0.691 0.460
C 0.338 0.809 0.960
C 0.409 0.023 0.840
C 0.409 0.477 0.340
C 0.591 0.523 0.660
C 0.591 0.977 0.160
C 0.662 0.191 0.040
C 0.662 0.309 0.540
C 0.728 0.625 0.531
C 0.728 0.875 0.031
N 0.127 0.203 0.948
N 0.127 0.297 0.448
N 0.236 0.690 0.935
N 0.236 0.810 0.435
N 0.353 0.040 0.741
N 0.353 0.460 0.241
N 0.647 0.540 0.759
N 0.647 0.960 0.259
N 0.764 0.190 0.565
N 0.764 0.310 0.065
N 0.873 0.703 0.552
N 0.873 0.797 0.052